For PaNiBiS4, a PBE-relaxed structure gives the simulated powder diffraction line list in this record (Cu Kα (λ = 1.5418 Å)).
Peak positions follow from Bragg's law for the DFT cell and can differ from measured ones.

Structural model:
a b c (Å): 6.3608 5.9708 7.8929
angles (deg): 90.00 105.98 90.00
Positions (direct):
1 Pa 0.2419 0.2500 0.0479
2 Pa 0.7581 0.7500 0.9521
3 Ni 0.2340 0.7500 0.8568
4 Ni 0.7660 0.2500 0.1432
5 Bi 0.2805 0.2500 0.5403
6 Bi 0.7195 0.7500 0.4597
7 S 0.0138 0.5079 0.2283
8 S 0.0138 0.9921 0.2283
9 S 0.4096 0.7500 0.6363
10 S 0.4438 0.7500 0.1210
11 S 0.5562 0.2500 0.8790
12 S 0.5904 0.2500 0.3637
13 S 0.9862 0.0079 0.7717
14 S 0.9862 0.4921 0.7717

Principal peaks in the range 10° ≤ 2θ ≤ 90°, by angle:
- 2θ = 20.8°, intensity 100
- 2θ = 23.4°, intensity 27
- 2θ = 27.9°, intensity 23
- 2θ = 28.3°, intensity 47
- 2θ = 29.2°, intensity 28
- 2θ = 29.9°, intensity 48
- 2θ = 32.1°, intensity 47
- 2θ = 34.5°, intensity 51
- 2θ = 38.4°, intensity 34
- 2θ = 42.3°, intensity 43